[1]
Diffraction record for Np2InGe3Pt4. The X-ray diffraction stick pattern is computed, not measured: it uses a cell relaxed with PBE and λ = 1.5418 Å (Cu Kα).
Neutral-atom scattering factors, no anomalous dispersion.

Largest 10 diffraction maxima, sorted by position, 5 to 70 degrees two-theta:
2theta	intensity
26.6	10
30.3	9
32.1	35
34.3	100
43.4	47
44.5	11
45.8	29
55.0	16
63.0	16
64.9	21

Structural model:
Lattice parameters (Å, degrees): 4.173 4.173 11.250 90.00 90.00 90.00
Positions (direct):
Np 0.000 0.500 0.240
Np 0.500 0.000 0.760
In 0.000 0.000 0.500
Ge 0.000 0.500 0.870
Ge 0.500 0.000 0.130
Ge 0.500 0.500 0.500
Pt 0.000 0.000 0.000
Pt 0.000 0.500 0.655
Pt 0.500 0.000 0.345
Pt 0.500 0.500 0.000



[2]
Diffraction record for TlInGeO4. The X-ray diffraction stick pattern is computed, not measured: it uses a cell relaxed with PBE and λ = 1.5418 Å (Cu Kα).
Neutral-atom scattering factors, no anomalous dispersion.

Largest 10 diffraction maxima, sorted by position, 5 to 70 degrees two-theta:
2theta	intensity
22.3	46
24.8	34
25.6	76
27.6	43
28.1	100
31.2	65
32.2	34
42.2	39
44.4	40
52.3	41

Structural model:
Lattice parameters (Å, degrees): 5.561 5.734 7.638 90.00 93.30 90.00
Positions (direct):
Tl 0.232 0.250 0.133
Tl 0.768 0.750 0.867
In 0.187 0.750 0.467
In 0.813 0.250 0.533
Ge 0.328 0.250 0.655
Ge 0.672 0.750 0.345
O 0.111 0.017 0.665
O 0.111 0.483 0.665
O 0.393 0.750 0.223
O 0.433 0.250 0.437
O 0.567 0.750 0.563
O 0.607 0.250 0.777
O 0.889 0.517 0.335
O 0.889 0.983 0.335



[3]
Diffraction record for InGe3P. The X-ray diffraction stick pattern is computed, not measured: it uses a cell relaxed with PBE and λ = 1.5418 Å (Cu Kα).
Neutral-atom scattering factors, no anomalous dispersion.

Largest 8 diffraction maxima, sorted by position, 5 to 70 degrees two-theta:
2theta	intensity
25.9	14
31.8	100
36.9	72
45.6	6
53.2	49
60.0	2
63.3	40
66.5	16

Structural model:
Lattice parameters (Å, degrees): 4.872 4.872 4.872 90.00 90.00 90.00
Positions (direct):
In 0.000 0.000 0.000
Ge 0.000 0.500 0.500
Ge 0.500 0.000 0.500
Ge 0.500 0.500 0.000
P 0.500 0.500 0.500